This entry pairs a crystal structure of CsLi7Ni2O6 with its theoretical powder X-ray diffraction pattern. Radiation: CuKα. Structure: a cell relaxed with PBE+U.
Neutral-atom scattering factors, no anomalous dispersion.

Peak list (8 most intense, 2θ = 10–90°, low angle first)
two_theta, I_rel
17.43, 49
19.98, 82
26.88, 90
30.79, 100
31.41, 76
36.59, 49
38.59, 43
40.58, 31

Structure:
Cell lengths 5.422, 5.422, 10.204 Å; angles 93.25, 93.25, 39.98 degrees
Fractional positions:
Cs: 0.000 0.000 0.000
Li: 0.171 0.171 0.270
Li: 0.249 0.249 0.584
Li: 0.269 0.269 0.896
Li: 0.500 0.500 0.500
Li: 0.731 0.731 0.104
Li: 0.751 0.751 0.416
Li: 0.829 0.829 0.730
Ni: 0.421 0.421 0.257
Ni: 0.579 0.579 0.743
O: 0.299 0.299 0.114
O: 0.330 0.330 0.412
O: 0.396 0.396 0.738
O: 0.604 0.604 0.262
O: 0.670 0.670 0.588
O: 0.701 0.701 0.886